Structure and computed powder XRD pattern of Ni2GeB2O6 (a DFT-relaxed cell (PBE+U, Alexandria); a wavelength of 1.5418 Å).
Peak positions follow from Bragg's law for the DFT cell and can differ from measured ones.

```
data_Ni2GeB2O6
_cell_length_a 5.048
_cell_length_b 5.048
_cell_length_c 5.941
_cell_angle_alpha 90.00
_cell_angle_beta 90.00
_cell_angle_gamma 120.00
_space_group_name_H-M_alt 'P 1'
_space_group_IT_number 1
_space_group_name_Hall 'P 1'
loop_
_atom_site_label
_atom_site_type_symbol
_atom_site_fract_x
_atom_site_fract_y
_atom_site_fract_z
Ni1 Ni 0.333 0.667 0.331
Ni2 Ni 0.667 0.333 0.669
Ge1 Ge 0.000 0.000 0.000
B1 B 0.333 0.667 0.762
B2 B 0.667 0.333 0.238
O1 O 0.058 0.664 0.757
O2 O 0.336 0.394 0.757
O3 O 0.394 0.058 0.243
O4 O 0.606 0.942 0.757
O5 O 0.664 0.606 0.243
O6 O 0.942 0.336 0.243
```

The 12 most intense peaks (2θ = 10–90°), by angle:
hkl 0 1 1, 25.29 deg, rel. 100
hkl 0 0 2, 30.08 deg, rel. 9
hkl 1 1 0, 35.57 deg, rel. 44
hkl 1 0 2, 36.57 deg, rel. 67
hkl 2 -1 1, 38.76 deg, rel. 12
hkl 2 0 1, 44.15 deg, rel. 34
hkl 0 2 2, 51.94 deg, rel. 17
hkl 1 2 1, 57.93 deg, rel. 28
hkl 1 1 3, 59.31 deg, rel. 27
hkl 3 0 0, 63.88 deg, rel. 16
hkl 3 -1 2, 64.54 deg, rel. 20
hkl 1 3 2, 86.75 deg, rel. 10